Structure and simulated PXRD pattern of Pr3Dy5Er4 (a structure optimized by DFT (PBE); λ = 1.5418 Å (Cu Kα)).
Intensities are scaled so that the largest is 1000.

abc: 6.187 7.141 8.748
angles: 90.00 90.12 90.17
Sites, in units of the cell vectors:
Pr 0.000 0.000 0.000
Pr 0.166 0.749 0.665
Pr 0.834 0.251 0.335
Dy 0.000 0.500 0.000
Dy 0.335 0.000 0.333
Dy 0.499 0.252 0.000
Dy 0.501 0.748 0.000
Dy 0.665 0.000 0.667
Er 0.169 0.251 0.667
Er 0.334 0.501 0.333
Er 0.666 0.499 0.667
Er 0.831 0.749 0.333

Peak list (10 most intense, 10° ≤ 2θ ≤ 90°, sorted by position)
h k l  2theta  d_spacing  I_rel
2 0 1  30.66  2.916  1000
1 2 2  35.55  2.525  506
0 4 0  51.13  1.787  241
3 2 0  51.21  1.784  120
4 0 -1  60.76  1.524  144
1 2 5  60.84  1.523  214
3 2 3  60.94  1.520  71
0 0 6  63.80  1.459  62
5 2 1  83.51  1.158  74
0 4 6  86.10  1.129  83